Entry 1:
Simulated powder X-ray diffraction pattern of La4C2Cl3 for a wavelength of 1.5418 Å, from a DFT-relaxed cell (PBE, Alexandria).
Peak positions follow from Bragg's law for the DFT cell and can differ from measured ones.

Structure:
a = 7.6053 Å, b = 7.6053 Å, c = 8.7429 Å
α = 101.08°, β = 101.08°, γ = 27.95°
Sites, in units of the cell vectors:
La 0.0940 0.0940 0.1979
La 0.3220 0.3220 0.3917
La 0.6780 0.6780 0.6083
La 0.9060 0.9060 0.8021
C 0.3074 0.3074 0.6661
C 0.6926 0.6926 0.3339
Cl 0.0000 0.0000 0.5000
Cl 0.4147 0.4147 0.1019
Cl 0.5853 0.5853 0.8981

Top 10 peaks for 2θ from 10° to 90°, low angle first:
2theta, I (rel.)
14.37, 79
26.19, 39
26.64, 91
28.62, 36
31.31, 82
33.57, 100
35.03, 49
36.66, 37
42.00, 38
49.65, 45

***

Entry 2:
Simulated powder X-ray diffraction pattern of La3CCl for a wavelength of 1.5418 Å, from a DFT-relaxed cell (PBE, Alexandria).
Peak positions follow from Bragg's law for the DFT cell and can differ from measured ones.

Structure:
a = 9.5344 Å, b = 9.5344 Å, c = 7.2273 Å
α = 106.79°, β = 106.79°, γ = 67.11°
Sites, in units of the cell vectors:
La 0.0064 0.6316 0.3641
La 0.0298 0.7571 0.8744
La 0.2429 0.9702 0.6256
La 0.3078 0.3763 0.1103
La 0.3684 0.9936 0.1359
La 0.3763 0.3078 0.6103
La 0.6237 0.6922 0.3897
La 0.6316 0.0064 0.8641
La 0.6922 0.6237 0.8897
La 0.7571 0.0298 0.3744
La 0.9702 0.2429 0.1256
La 0.9936 0.3684 0.6359
C 0.1596 0.3532 0.3357
C 0.3532 0.1596 0.8357
C 0.6468 0.8404 0.1643
C 0.8404 0.6468 0.6643
Cl 0.2845 0.7155 0.2500
Cl 0.3487 0.6513 0.7500
Cl 0.6513 0.3487 0.2500
Cl 0.7155 0.2845 0.7500

Top 10 peaks for 2θ from 10° to 90°, low angle first:
2theta, I (rel.)
11.87, 31
23.88, 30
26.06, 41
26.26, 56
27.02, 37
28.55, 60
29.49, 27
30.17, 100
31.18, 88
33.54, 45

***

Entry 3:
Simulated powder X-ray diffraction pattern of La2C2Cl for a wavelength of 1.5418 Å, from a DFT-relaxed cell (PBE, Alexandria).
Peak positions follow from Bragg's law for the DFT cell and can differ from measured ones.

Structure:
a = 7.7982 Å, b = 7.7982 Å, c = 6.7839 Å
α = 100.86°, β = 100.86°, γ = 31.55°
Sites, in units of the cell vectors:
La 0.0472 0.6542 0.8502
La 0.3458 0.9528 0.6498
La 0.6542 0.0472 0.3502
La 0.9528 0.3458 0.1498
C 0.1425 0.4115 0.4736
C 0.4115 0.1425 0.9736
C 0.5885 0.8575 0.0264
C 0.8575 0.5885 0.5264
Cl 0.2873 0.7127 0.2500
Cl 0.7127 0.2873 0.7500

Top 10 peaks for 2θ from 10° to 90°, low angle first:
2theta, I (rel.)
12.03, 21
24.19, 26
26.26, 56
27.17, 33
29.32, 100
31.61, 37
32.51, 29
36.63, 18
45.50, 29
51.26, 19

***

Entry 4:
Simulated powder X-ray diffraction pattern of La8C8Cl5 for a wavelength of 1.5418 Å, from a DFT-relaxed cell (PBE, Alexandria).
Peak positions follow from Bragg's law for the DFT cell and can differ from measured ones.

Structure:
a = 7.8221 Å, b = 17.1838 Å, c = 6.9331 Å
α = 90.00°, β = 103.81°, γ = 90.00°
Sites, in units of the cell vectors:
La 0.0768 0.1941 0.1207
La 0.0768 0.3059 0.6207
La 0.1515 0.0699 0.6215
La 0.1515 0.4301 0.1215
La 0.2262 0.5488 0.6172
La 0.2262 0.9512 0.1172
La 0.3005 0.6731 0.1080
La 0.3005 0.8269 0.6080
La 0.6995 0.1731 0.3920
La 0.6995 0.3269 0.8920
La 0.7738 0.0488 0.8828
La 0.7738 0.4512 0.3828
La 0.8485 0.5699 0.8785
La 0.8485 0.9301 0.3785
La 0.9232 0.6941 0.3793
La 0.9232 0.8059 0.8793
C 0.0203 0.0384 0.2203
C 0.0203 0.4616 0.7203
C 0.0496 0.6601 0.7700
C 0.0496 0.8399 0.2700
C 0.0974 0.5855 0.2220
C 0.0974 0.9145 0.7220
C 0.1538 0.7160 0.7209
C 0.1538 0.7840 0.2209
C 0.8462 0.2160 0.7791
C 0.8462 0.2840 0.2791
C 0.9026 0.0855 0.2780
C 0.9026 0.4145 0.7780
C 0.9504 0.1601 0.7300
C 0.9504 0.3399 0.2300
C 0.9797 0.5384 0.2797
C 0.9797 0.9616 0.7797
Cl 0.3494 0.2030 0.5142
Cl 0.3494 0.2970 0.0142
Cl 0.4110 0.0974 0.0181
Cl 0.4110 0.4026 0.5181
Cl 0.5000 0.0000 0.5000
Cl 0.5000 0.5000 0.0000
Cl 0.5890 0.5974 0.4819
Cl 0.5890 0.9026 0.9819
Cl 0.6506 0.7030 0.9858
Cl 0.6506 0.7970 0.4858

Top 10 peaks for 2θ from 10° to 90°, low angle first:
2theta, I (rel.)
11.65, 34
24.58, 54
26.24, 41
28.66, 100
30.27, 23
31.52, 59
31.90, 44
44.58, 25
45.61, 24
50.30, 17

***

Entry 5:
Simulated powder X-ray diffraction pattern of La2CN3Cl for a wavelength of 1.5418 Å, from a DFT-relaxed cell (PBE, Alexandria).
Peak positions follow from Bragg's law for the DFT cell and can differ from measured ones.

Structure:
a = 8.2948 Å, b = 8.2948 Å, c = 3.9598 Å
α = 90.00°, β = 90.00°, γ = 108.67°
Sites, in units of the cell vectors:
La 0.1378 0.8622 0.0000
La 0.2871 0.2871 0.5000
La 0.7129 0.7129 0.5000
La 0.8622 0.1378 0.0000
C 0.0000 0.5000 0.5000
C 0.5000 0.0000 0.5000
N 0.0047 0.6504 0.5000
N 0.1552 0.1552 0.0000
N 0.3496 0.9953 0.5000
N 0.6504 0.0047 0.5000
N 0.8448 0.8448 0.0000
N 0.9953 0.3496 0.5000
Cl 0.3783 0.6217 0.0000
Cl 0.6217 0.3783 0.0000

Top 10 peaks for 2θ from 10° to 90°, low angle first:
2theta, I (rel.)
13.14, 32
21.81, 34
22.63, 29
25.18, 26
29.15, 100
32.38, 67
34.96, 52
41.33, 37
51.96, 27
57.22, 27

***

Entry 6:
Simulated powder X-ray diffraction pattern of La8C3NCl4 for a wavelength of 1.5418 Å, from a DFT-relaxed cell (PBE, Alexandria).
Peak positions follow from Bragg's law for the DFT cell and can differ from measured ones.

Structure:
a = 8.5855 Å, b = 8.5855 Å, c = 8.5855 Å
α = 52.83°, β = 52.83°, γ = 52.83°
Sites, in units of the cell vectors:
La 0.2312 0.2312 0.2312
La 0.2333 0.7290 0.7290
La 0.2710 0.2710 0.7667
La 0.2710 0.7667 0.2710
La 0.7290 0.2333 0.7290
La 0.7290 0.7290 0.2333
La 0.7667 0.2710 0.2710
La 0.7688 0.7688 0.7688
C 0.0000 0.0000 0.5000
C 0.0000 0.5000 0.0000
C 0.5000 0.0000 0.0000
N 0.5000 0.5000 0.5000
Cl 0.0000 0.0000 0.0000
Cl 0.0000 0.5000 0.5000
Cl 0.5000 0.0000 0.5000
Cl 0.5000 0.5000 0.0000

Top 10 peaks for 2θ from 10° to 90°, low angle first:
2theta, I (rel.)
12.02, 20
24.16, 18
28.16, 74
31.52, 100
33.85, 32
36.60, 19
39.46, 21
42.64, 20
47.61, 38
61.51, 25

***

Entry 7:
Simulated powder X-ray diffraction pattern of RbLa2C6N6ClO6 for a wavelength of 1.5418 Å, from a DFT-relaxed cell (PBE, Alexandria).
Peak positions follow from Bragg's law for the DFT cell and can differ from measured ones.

Structure:
a = 6.8391 Å, b = 6.8391 Å, c = 14.7955 Å
α = 90.00°, β = 90.00°, γ = 120.00°
Sites, in units of the cell vectors:
Rb 0.3333 0.6667 0.2500
Rb 0.6667 0.3333 0.7500
La 0.3333 0.6667 0.5523
La 0.3333 0.6667 0.9477
La 0.6667 0.3333 0.0523
La 0.6667 0.3333 0.4477
C 0.0454 0.8329 0.0958
C 0.0454 0.8329 0.4042
C 0.1671 0.2125 0.0958
C 0.1671 0.2125 0.4042
C 0.2125 0.0454 0.5958
C 0.2125 0.0454 0.9042
C 0.7875 0.9546 0.0958
C 0.7875 0.9546 0.4042
C 0.8329 0.7875 0.5958
C 0.8329 0.7875 0.9042
C 0.9546 0.1671 0.5958
C 0.9546 0.1671 0.9042
N 0.0463 0.8253 0.5992
N 0.0463 0.8253 0.9008
N 0.1747 0.2210 0.5992
N 0.1747 0.2210 0.9008
N 0.2210 0.0463 0.0992
N 0.2210 0.0463 0.4008
N 0.7790 0.9537 0.5992
N 0.7790 0.9537 0.9008
N 0.8253 0.7790 0.0992
N 0.8253 0.7790 0.4008
N 0.9537 0.1747 0.0992
N 0.9537 0.1747 0.4008
Cl 0.3333 0.6667 0.7500
Cl 0.6667 0.3333 0.2500
O 0.0797 0.6642 0.0826
O 0.0797 0.6642 0.4174
O 0.3358 0.4155 0.0826
O 0.3358 0.4155 0.4174
O 0.4155 0.0797 0.5826
O 0.4155 0.0797 0.9174
O 0.5845 0.9203 0.0826
O 0.5845 0.9203 0.4174
O 0.6642 0.5845 0.5826
O 0.6642 0.5845 0.9174
O 0.9203 0.3358 0.5826
O 0.9203 0.3358 0.9174

Top 10 peaks for 2θ from 10° to 90°, low angle first:
2theta, I (rel.)
11.96, 69
14.96, 44
23.47, 92
26.06, 100
28.45, 31
35.35, 50
35.76, 32
40.29, 31
44.44, 57
45.97, 26

***

Entry 8:
Simulated powder X-ray diffraction pattern of La8PC3Cl4 for a wavelength of 1.5418 Å, from a DFT-relaxed cell (PBE, Alexandria).
Peak positions follow from Bragg's law for the DFT cell and can differ from measured ones.

Structure:
a = 8.6321 Å, b = 8.6321 Å, c = 8.6321 Å
α = 54.56°, β = 54.56°, γ = 54.56°
Sites, in units of the cell vectors:
La 0.2125 0.7433 0.7433
La 0.2304 0.2304 0.2304
La 0.2567 0.2567 0.7875
La 0.2567 0.7875 0.2567
La 0.7433 0.2125 0.7433
La 0.7433 0.7433 0.2125
La 0.7696 0.7696 0.7696
La 0.7875 0.2567 0.2567
P 0.5000 0.5000 0.5000
C 0.0000 0.0000 0.5000
C 0.0000 0.5000 0.0000
C 0.5000 0.0000 0.0000
Cl 0.0000 0.0000 0.0000
Cl 0.0000 0.5000 0.5000
Cl 0.5000 0.0000 0.5000
Cl 0.5000 0.5000 0.0000

Top 10 peaks for 2θ from 10° to 90°, low angle first:
2theta, I (rel.)
12.08, 16
24.30, 18
27.27, 68
30.76, 100
33.16, 24
38.91, 17
42.17, 23
45.88, 36
56.25, 16
60.21, 19